No. 1
This entry pairs a crystal structure of PmDy4Ag with its calculated XRD peak list. Radiation: CuKα. Structure: the GGA-PBE geometry in Alexandria.

Peak list (6 most intense, 15° ≤ 2θ ≤ 90°, sorted by position)
Position (°2θ), I_rel
31.60, 100
35.53, 43
51.13, 15
53.63, 14
59.05, 12
61.36, 30

Crystal structure
a = 3.5729 Å, b = 3.5729 Å, c = 13.9232 Å
α = 90.00°, β = 90.00°, γ = 90.00°
Atoms (fractional coordinates):
Pm 0.0000 0.0000 0.0000
Dy 0.0000 0.0000 0.3639
Dy 0.0000 0.0000 0.6361
Dy 0.5000 0.5000 0.1826
Dy 0.5000 0.5000 0.8174
Ag 0.5000 0.5000 0.5000

---

No. 2
This entry pairs a crystal structure of Pm4Dy3Ag4 with its calculated XRD peak list. Radiation: CuKα. Structure: the GGA-PBE geometry in Alexandria.

Peak list (6 most intense, 15° ≤ 2θ ≤ 90°, sorted by position)
Position (°2θ), I_rel
31.31, 93
32.25, 80
32.89, 100
35.51, 40
39.11, 30
58.92, 38

Crystal structure
a = 10.3170 Å, b = 10.3170 Å, c = 10.3170 Å
α = 159.49°, β = 125.85°, γ = 58.52°
Atoms (fractional coordinates):
Pm 0.0249 0.8401 0.1848
Pm 0.3447 0.1599 0.1848
Pm 0.6553 0.8401 0.8152
Pm 0.9751 0.1599 0.8152
Dy 0.0000 0.5000 0.5000
Dy 0.4001 0.4001 0.0000
Dy 0.5999 0.5999 0.0000
Ag 0.2626 0.7626 0.5000
Ag 0.3099 0.0000 0.3099
Ag 0.6901 0.0000 0.6901
Ag 0.7374 0.2374 0.5000

---

No. 3
This entry pairs a crystal structure of Pm2Dy2Ag3 with its calculated XRD peak list. Radiation: CuKα. Structure: the GGA-PBE geometry in Alexandria.

Peak list (6 most intense, 15° ≤ 2θ ≤ 90°, sorted by position)
Position (°2θ), I_rel
24.47, 21
34.79, 100
34.96, 99
50.15, 35
62.57, 24
62.64, 18

Crystal structure
a = 5.1278 Å, b = 5.1350 Å, c = 8.9474 Å
α = 73.33°, β = 89.98°, γ = 60.05°
Atoms (fractional coordinates):
Pm 0.1252 0.2467 0.3797
Pm 0.8748 0.7533 0.6203
Dy 0.3753 0.7483 0.1276
Dy 0.6247 0.2517 0.8724
Ag 0.0000 0.5000 0.0000
Ag 0.2529 0.9946 0.7580
Ag 0.7471 0.0054 0.2420